Calculated PXRD pattern of Na2Mn2SeO6 for a wavelength of 1.5418 Å, from a structure optimized by DFT (PBE+U).

Largest 12 diffraction maxima, in order of rising 2θ, 10° ≤ 2θ ≤ 80°:
2theta  I_rel
16.0  100
19.6  9
32.1  12
32.2  15
34.1  10
34.6  13
35.6  16
38.0  37
40.9  54
52.3  11
55.9  25
58.2  17

Cell: 5.277 5.277 5.928 Å, 100.73 100.73 115.64°
Positions (direct):
Na (0.174, 0.826, 0.000)
Na (0.826, 0.174, 0.000)
Mn (0.334, 0.666, 0.500)
Mn (0.666, 0.334, 0.500)
Se (0.000, 0.000, 0.500)
O (0.031, 0.381, 0.700)
O (0.271, 0.271, 0.321)
O (0.381, 0.031, 0.700)
O (0.619, 0.969, 0.300)
O (0.729, 0.729, 0.679)
O (0.969, 0.619, 0.300)